No. 1
The following is a calculated XRD peak list of Li2Mn3CoO8. It was derived from a DFT-relaxed cell (PBE+U, Alexandria), using Cu Kα (weighted mean of Kα1 and Kα2).
No peak broadening, texture or thermal motion is included.

Crystal structure
```
data_Li2Mn3CoO8
_cell_length_a 5.8914
_cell_length_b 5.9059
_cell_length_c 10.1076
_cell_angle_alpha 74.67
_cell_angle_beta 73.70
_cell_angle_gamma 60.62
_space_group_name_H-M_alt 'P -1'
_space_group_IT_number 2
loop_
_space_group_symop_operation_xyz
'x,y,z'
'-x,-y,-z'
loop_
_atom_site_label
_atom_site_type_symbol
_atom_site_fract_x
_atom_site_fract_y
_atom_site_fract_z
Li1 Li 0.0449 0.0711 0.3086
Li2 Li 0.4423 0.4193 0.1916
Mn1 Mn 0.0000 0.0000 0.0000
Mn2 Mn 0.0000 0.5000 0.0000
Mn3 Mn 0.2531 0.2605 0.7494
Mn4 Mn 0.5000 0.0000 0.5000
Mn5 Mn 0.5000 0.5000 0.5000
Co1 Co 0.0000 0.5000 0.5000
Co2 Co 0.5000 0.0000 0.0000
O1 O 0.0871 0.6176 0.1317
O2 O 0.1195 0.1444 0.1024
O3 O 0.1637 0.1305 0.6258
O4 O 0.1651 0.5881 0.6248
O5 O 0.3498 0.3708 0.8829
O6 O 0.3579 0.9262 0.8760
O7 O 0.3871 0.3528 0.3959
O8 O 0.4018 0.8508 0.3835
```

The 12 most intense peaks (10 to 90 degrees two-theta), by angle:
d [Å], Rel. int., h k l
4.836, 100, 1 1 0
4.800, 88, 0 1 1
2.545, 22, 0 2 0
2.523, 15, 2 1 -1
2.508, 14, -1 1 2
2.498, 15, 2 2 2
2.483, 14, 1 1 4
2.418, 11, 2 0 2
2.400, 10, 0 0 4
2.118, 35, 0 2 -2
2.085, 34, 2 0 -2
2.057, 32, 2 2 4

=====

No. 2
The following is a calculated XRD peak list of Li3MnCoO5. It was derived from a DFT-relaxed cell (PBE+U, Alexandria), using Cu Kα (weighted mean of Kα1 and Kα2).
No peak broadening, texture or thermal motion is included.

Crystal structure
```
data_Li3MnCoO5
_cell_length_a 4.9972
_cell_length_b 5.9163
_cell_length_c 6.4661
_cell_angle_alpha 103.52
_cell_angle_beta 96.37
_cell_angle_gamma 106.40
_space_group_name_H-M_alt 'P -1'
_space_group_IT_number 2
loop_
_space_group_symop_operation_xyz
'x,y,z'
'-x,-y,-z'
loop_
_atom_site_label
_atom_site_type_symbol
_atom_site_fract_x
_atom_site_fract_y
_atom_site_fract_z
Li1 Li 0.0000 0.0000 0.0000
Li2 Li 0.0000 0.5000 0.0000
Li3 Li 0.1933 0.4023 0.3904
Li4 Li 0.3968 0.7958 0.8132
Mn1 Mn 0.1962 0.8958 0.3942
Co1 Co 0.4115 0.3073 0.8074
O1 O 0.0854 0.4130 0.6937
O2 O 0.0859 0.9565 0.6829
O3 O 0.3126 0.8589 0.1234
O4 O 0.3231 0.3591 0.0885
O5 O 0.4974 0.7704 0.4859
```

The 12 most intense peaks (10 to 90 degrees two-theta), by angle:
d [Å], Rel. int., h k l
4.802, 100, 0 1 -1
2.504, 14, 1 1 1
2.466, 12, 2 -1 0
2.456, 12, -1 1 2
2.088, 30, 1 2 0
2.063, 29, 2 -2 1
2.032, 28, 1 0 -3
1.479, 8, 1 -4 1
1.459, 15, 0 2 3
1.456, 8, 3 0 1
1.454, 7, 2 2 -3
1.437, 8, -3 2 2

=====

No. 3
The following is a calculated XRD peak list of Li7Mn2Co3O12. It was derived from a DFT-relaxed cell (PBE+U, Alexandria), using Cu Kα (weighted mean of Kα1 and Kα2).
No peak broadening, texture or thermal motion is included.

Crystal structure
```
data_Li7Mn2Co3O12
_cell_length_a 5.0200
_cell_length_b 5.1804
_cell_length_c 8.7304
_cell_angle_alpha 73.83
_cell_angle_beta 85.29
_cell_angle_gamma 79.77
_space_group_name_H-M_alt 'P 1'
_space_group_IT_number 1
loop_
_space_group_symop_operation_xyz
'x,y,z'
loop_
_atom_site_label
_atom_site_type_symbol
_atom_site_fract_x
_atom_site_fract_y
_atom_site_fract_z
Li1 Li 0.0000 0.0000 0.0000
Li2 Li 0.0014 0.3276 0.6903
Li3 Li 0.2562 0.7557 0.7608
Li4 Li 0.4871 0.4964 0.5299
Li5 Li 0.4929 0.1681 0.8410
Li6 Li 0.4975 0.8305 0.1733
Li7 Li 0.9980 0.6644 0.3505
Mn1 Mn 0.2473 0.0792 0.4347
Mn2 Mn 0.7444 0.2413 0.2624
Co1 Co 0.2449 0.4191 0.0812
Co2 Co 0.7428 0.5802 0.9281
Co3 Co 0.7603 0.9085 0.6168
O1 O 0.1060 0.0527 0.2323
O2 O 0.1069 0.3810 0.8995
O3 O 0.1267 0.7466 0.5420
O4 O 0.3698 0.1283 0.6208
O5 O 0.3792 0.4197 0.3009
O6 O 0.3894 0.7580 0.9749
O7 O 0.6127 0.9065 0.3903
O8 O 0.6218 0.1996 0.0711
O9 O 0.6401 0.5527 0.7295
O10 O 0.8585 0.5826 0.1399
O11 O 0.8609 0.9611 0.7996
O12 O 0.8852 0.2775 0.4571
```

The 12 most intense peaks (10 to 90 degrees two-theta), by angle:
d [Å], Rel. int., h k l
4.843, 100, 0 1 1
3.811, 6, 0 1 -1
2.535, 14, 1 1 -2
2.468, 24, 2 0 0
2.121, 30, 1 2 -1
2.055, 28, -2 1 1
2.050, 26, 1 1 4
1.484, 8, 1 -3 0
1.478, 8, 2 3 3
1.469, 15, 3 1 -2
1.463, 7, -1 2 5
1.440, 7, 3 0 3

=====

No. 4
The following is a calculated XRD peak list of Li4MnCo2O7. It was derived from a DFT-relaxed cell (PBE+U, Alexandria), using Cu Kα (weighted mean of Kα1 and Kα2).
No peak broadening, texture or thermal motion is included.

Crystal structure
```
data_Li4MnCo2O7
_cell_length_a 9.6756
_cell_length_b 2.8557
_cell_length_c 17.2476
_cell_angle_alpha 90.00
_cell_angle_beta 95.73
_cell_angle_gamma 90.00
_space_group_name_H-M_alt 'C 1 m 1'
_space_group_IT_number 8
loop_
_space_group_symop_operation_xyz
'x,y,z'
'x,-y,z'
'x+1/2,y+1/2,z'
'x+1/2,-y+1/2,z'
loop_
_atom_site_label
_atom_site_type_symbol
_atom_site_fract_x
_atom_site_fract_y
_atom_site_fract_z
Li1 Li 0.0000 0.0000 0.0000
Li2 Li 0.0034 0.0000 0.4946
Li3 Li 0.0693 0.5000 0.1411
Li4 Li 0.1369 0.0000 0.2822
Li5 Li 0.2072 0.5000 0.4291
Li6 Li 0.2902 0.0000 0.5591
Li7 Li 0.3642 0.5000 0.7115
Li8 Li 0.4310 0.0000 0.8598
Mn1 Mn 0.0791 0.5000 0.6354
Mn2 Mn 0.1461 0.0000 0.7866
Co1 Co 0.2153 0.5000 0.9304
Co2 Co 0.2846 0.0000 0.0710
Co3 Co 0.3542 0.5000 0.2117
Co4 Co 0.4217 0.0000 0.3556
O1 O 0.0158 0.5000 0.7475
O2 O 0.0471 0.0000 0.3819
O3 O 0.0879 0.0000 0.8945
O4 O 0.1468 0.5000 0.5408
O5 O 0.1583 0.5000 0.0347
O6 O 0.2062 0.0000 0.6782
O7 O 0.2276 0.0000 0.1756
O8 O 0.2764 0.5000 0.8254
O9 O 0.2981 0.5000 0.3156
O10 O 0.3415 0.0000 0.9667
O11 O 0.3560 0.0000 0.4486
O12 O 0.4109 0.5000 0.1072
O13 O 0.4505 0.5000 0.6086
O14 O 0.4797 0.0000 0.2479
```

The 12 most intense peaks (10 to 90 degrees two-theta), by angle:
d [Å], Rel. int., h k l
4.760, 100, 2 0 -1
2.452, 12, 0 0 7
2.443, 25, 1 1 3
2.338, 7, 1 1 -4
2.038, 78, 3 1 2
1.868, 7, 3 1 -5
1.578, 9, 5 1 1
1.456, 7, 6 0 4
1.446, 13, 5 1 -6
1.436, 14, 1 1 10
1.428, 7, 0 2 0
1.169, 6, 2 2 -8

=====

No. 5
The following is a calculated XRD peak list of Li3MnCoO5. It was derived from a DFT-relaxed cell (PBE+U, Alexandria), using Cu Kα (weighted mean of Kα1 and Kα2).
No peak broadening, texture or thermal motion is included.

Crystal structure
```
data_Li3MnCoO5
_cell_length_a 21.3211
_cell_length_b 2.9029
_cell_length_c 5.9284
_cell_angle_alpha 90.00
_cell_angle_beta 97.41
_cell_angle_gamma 90.00
_space_group_name_H-M_alt 'C 1 2/m 1'
_space_group_IT_number 12
loop_
_space_group_symop_operation_xyz
'x,y,z'
'-x,-y,-z'
'-x,y,-z'
'x,-y,z'
'x+1/2,y+1/2,z'
'-x+1/2,-y+1/2,-z'
'-x+1/2,y+1/2,-z'
'x+1/2,-y+1/2,z'
loop_
_atom_site_label
_atom_site_type_symbol
_atom_site_fract_x
_atom_site_fract_y
_atom_site_fract_z
Li1 Li 0.0000 0.0000 0.0000
Li2 Li 0.0000 0.0000 0.5000
Li3 Li 0.0918 0.5000 0.2813
Li4 Li 0.1947 0.0000 0.0938
Mn1 Mn 0.1992 0.0000 0.6047
Co1 Co 0.0883 0.5000 0.8100
O1 O 0.0046 0.5000 0.7439
O2 O 0.1029 0.0000 0.0376
O3 O 0.1120 0.0000 0.5722
O4 O 0.2051 0.5000 0.3816
O5 O 0.2051 0.5000 0.8213
```

The 12 most intense peaks (10 to 90 degrees two-theta), by angle:
d [Å], Rel. int., h k l
4.878, 100, 2 0 1
3.211, 10, 6 0 -1
2.536, 11, 8 0 -1
2.488, 24, 3 1 -1
2.395, 7, 5 1 0
2.114, 25, 10 0 0
2.074, 58, 1 1 -2
1.919, 11, 7 1 1
1.606, 10, 1 1 3
1.486, 14, 9 1 2
1.475, 12, 11 1 -2
1.451, 8, 0 2 0

=====

No. 6
The following is a calculated XRD peak list of Li7Mn4CoO12. It was derived from a DFT-relaxed cell (PBE+U, Alexandria), using Cu Kα (weighted mean of Kα1 and Kα2).
No peak broadening, texture or thermal motion is included.

Crystal structure
```
data_Li7Mn4CoO12
_cell_length_a 5.9157
_cell_length_b 5.9305
_cell_length_c 6.4967
_cell_angle_alpha 76.61
_cell_angle_beta 75.56
_cell_angle_gamma 87.22
_space_group_name_H-M_alt 'P 1'
_space_group_IT_number 1
loop_
_space_group_symop_operation_xyz
'x,y,z'
loop_
_atom_site_label
_atom_site_type_symbol
_atom_site_fract_x
_atom_site_fract_y
_atom_site_fract_z
Li1 Li 0.0000 0.0000 0.0000
Li2 Li 0.0017 0.5116 0.9995
Li3 Li 0.3234 0.8320 0.6665
Li4 Li 0.3389 0.3343 0.6721
Li5 Li 0.4955 0.0060 0.9968
Li6 Li 0.6594 0.6890 0.3143
Li7 Li 0.6665 0.1700 0.3202
Mn1 Mn 0.1751 0.1735 0.3273
Mn2 Mn 0.4977 0.5128 0.9978
Mn3 Mn 0.8279 0.8435 0.6585
Mn4 Mn 0.8342 0.3413 0.6647
Co1 Co 0.1681 0.6774 0.3261
O1 O 0.0601 0.5891 0.6460
O2 O 0.0815 0.1146 0.6556
O3 O 0.2581 0.7439 0.0078
O4 O 0.2692 0.2778 0.0128
O5 O 0.3819 0.9142 0.3370
O6 O 0.4221 0.4517 0.3091
O7 O 0.5821 0.5676 0.6791
O8 O 0.6230 0.1109 0.6515
O9 O 0.7348 0.7460 0.9739
O10 O 0.7471 0.2780 0.9784
O11 O 0.9178 0.9063 0.3377
O12 O 0.9429 0.4300 0.3453
```

The 12 most intense peaks (10 to 90 degrees two-theta), by angle:
d [Å], Rel. int., h k l
5.769, 8, 0 1 0
4.814, 100, 1 0 1
2.566, 15, 1 2 0
2.464, 25, 1 0 -2
2.144, 32, 2 2 1
2.042, 55, 2 -2 0
1.579, 9, 3 -2 1
1.481, 16, 0 4 1
1.477, 15, 2 2 -2
1.455, 7, 2 -2 3
1.434, 7, -2 2 3
1.204, 7, 0 4 -2

=====

No. 7
The following is a calculated XRD peak list of Li2Mn3Co3O12. It was derived from a DFT-relaxed cell (PBE+U, Alexandria), using Cu Kα (weighted mean of Kα1 and Kα2).
No peak broadening, texture or thermal motion is included.

Crystal structure
```
data_Li2Mn3Co3O12
_cell_length_a 5.6932
_cell_length_b 5.9567
_cell_length_c 6.9986
_cell_angle_alpha 70.91
_cell_angle_beta 74.38
_cell_angle_gamma 84.89
_space_group_name_H-M_alt 'P -1'
_space_group_IT_number 2
loop_
_space_group_symop_operation_xyz
'x,y,z'
'-x,-y,-z'
loop_
_atom_site_label
_atom_site_type_symbol
_atom_site_fract_x
_atom_site_fract_y
_atom_site_fract_z
Li1 Li 0.2209 0.2208 0.2863
Mn1 Mn 0.0000 0.0000 0.0000
Mn2 Mn 0.3302 0.3387 0.6705
Co1 Co 0.1660 0.6684 0.3338
Co2 Co 0.5000 0.0000 0.0000
O1 O 0.0677 0.5625 0.6352
O2 O 0.0947 0.1086 0.6996
O3 O 0.2395 0.2239 0.9779
O4 O 0.2622 0.7810 0.0333
O5 O 0.4082 0.8964 0.2959
O6 O 0.4199 0.4351 0.3697
```

The 12 most intense peaks (10 to 90 degrees two-theta), by angle:
d [Å], Rel. int., h k l
5.099, 100, 0 1 1
2.550, 4, 0 2 2
2.466, 15, 0 1 -2
2.372, 11, 2 -1 1
2.317, 4, 0 2 -1
2.134, 29, 0 0 3
1.963, 12, 2 -2 0
1.688, 6, 2 3 2
1.684, 6, 0 1 4
1.436, 4, 2 2 -2
1.417, 7, 2 -2 3
1.401, 5, 4 1 2

=====

No. 8
The following is a calculated XRD peak list of Li4Mn3CoO8. It was derived from a DFT-relaxed cell (PBE+U, Alexandria), using Cu Kα (weighted mean of Kα1 and Kα2).
No peak broadening, texture or thermal motion is included.

Crystal structure
```
data_Li4Mn3CoO8
_cell_length_a 5.3743
_cell_length_b 5.7078
_cell_length_c 5.4458
_cell_angle_alpha 90.00
_cell_angle_beta 114.80
_cell_angle_gamma 90.00
_space_group_name_H-M_alt 'P 1 2/m 1'
_space_group_IT_number 10
loop_
_space_group_symop_operation_xyz
'x,y,z'
'-x,-y,-z'
'-x,y,-z'
'x,-y,z'
loop_
_atom_site_label
_atom_site_type_symbol
_atom_site_fract_x
_atom_site_fract_y
_atom_site_fract_z
Li1 Li 0.0000 0.0000 0.0000
Li2 Li 0.0000 0.2471 0.5000
Li3 Li 0.0000 0.5000 0.0000
Mn1 Mn 0.5000 0.2493 0.0000
Mn2 Mn 0.5000 0.5000 0.5000
Co1 Co 0.5000 0.0000 0.5000
O1 O 0.2659 0.5000 0.7749
O2 O 0.2703 0.2464 0.2758
O3 O 0.2706 0.0000 0.7691
```

The 12 most intense peaks (10 to 90 degrees two-theta), by angle:
d [Å], Rel. int., h k l
4.879, 100, 1 0 0
2.710, 23, 1 0 -2
2.472, 28, 0 2 1
2.419, 9, 1 2 -1
2.279, 36, 2 0 -2
2.039, 49, 1 2 1
1.953, 12, 2 2 -1
1.579, 9, 2 2 1
1.527, 16, 1 2 -3
1.512, 16, 3 2 -1
1.427, 13, 0 4 0
1.209, 7, 2 4 -2